Structure and theoretical PXRD pattern of RbGeB2 (a crystal structure in Alexandria, relaxed with PBE; λ = 1.5418 Å (Cu Kα)).

Structure:
```
data_RbGeB2
_chemical_formula_sum 'Rb4 Ge4 B8'
_cell_length_a 4.8290
_cell_length_b 4.8290
_cell_length_c 13.4816
_cell_angle_alpha 90.00
_cell_angle_beta 90.00
_cell_angle_gamma 90.00
_symmetry_space_group_name_H-M 'I 41/a m d'
_symmetry_Int_Tables_number 141
loop_
_symmetry_equiv_pos_as_xyz
'x,y,z'
'-x,-y,-z'
'-y+1/4,x+3/4,z+1/4'
'y+1/4,-x+3/4,-z+1/4'
'-x+1/2,-y,z+1/2'
'x+1/2,y,-z+1/2'
'y+1/4,-x+1/4,z+3/4'
'-y+1/4,x+1/4,-z+3/4'
'x,-y,-z'
'-x,y,z'
'-y+1/4,-x+1/4,-z+3/4'
'y+1/4,x+1/4,z+3/4'
'-x+1/2,y,-z+1/2'
'x+1/2,-y,z+1/2'
'y+1/4,x+3/4,-z+1/4'
'-y+1/4,-x+3/4,z+1/4'
'x+1/2,y+1/2,z+1/2'
'-x+1/2,-y+1/2,-z+1/2'
'-y+3/4,x+1/4,z+3/4'
'y+3/4,-x+1/4,-z+3/4'
'-x,-y+1/2,z'
'x,y+1/2,-z'
'y+3/4,-x+3/4,z+1/4'
'-y+3/4,x+3/4,-z+1/4'
'x+1/2,-y+1/2,-z+1/2'
'-x+1/2,y+1/2,z+1/2'
'-y+3/4,-x+3/4,-z+1/4'
'y+3/4,x+3/4,z+1/4'
'-x,y+1/2,-z'
'x,-y+1/2,z'
'y+3/4,x+1/4,-z+3/4'
'-y+3/4,-x+1/4,z+3/4'
loop_
_atom_site_label
_atom_site_type_symbol
_atom_site_fract_x
_atom_site_fract_y
_atom_site_fract_z
_atom_site_occupancy
Rb1 Rb 0.0000 0.2500 0.3750 1
Ge1 Ge 0.0000 0.2500 0.8750 1
B1 B 0.0000 0.0000 0.0000 1
```

Largest 10 diffraction maxima, most intense first, 2θ = 15–90°:
2θ/deg	intensity
29.32	100
46.25	28
37.24	26
26.44	26
48.50	24
62.35	22
60.82	14
75.24	13
67.82	9
53.68	7


Structure and theoretical PXRD pattern of GeB2Rh4 (a crystal structure in Alexandria, relaxed with PBE; λ = 1.5418 Å (Cu Kα)).

Structure:
```
data_GeB2Rh4
_chemical_formula_sum 'Ge8 B16 Rh32'
_cell_length_a 6.9865
_cell_length_b 10.2259
_cell_length_c 10.3358
_cell_angle_alpha 90.00
_cell_angle_beta 90.00
_cell_angle_gamma 90.00
_symmetry_space_group_name_H-M 'F d d d'
_symmetry_Int_Tables_number 70
loop_
_symmetry_equiv_pos_as_xyz
'x,y,z'
'-x,-y,-z'
'-x+1/4,-y+1/4,z'
'x+1/4,y+1/4,-z'
'x,-y+1/4,-z+1/4'
'-x,y+1/4,z+1/4'
'-x+1/4,y,-z+1/4'
'x+1/4,-y,z+1/4'
'x,y+1/2,z+1/2'
'-x,-y+1/2,-z+1/2'
'-x+1/4,-y+3/4,z+1/2'
'x+1/4,y+3/4,-z+1/2'
'x,-y+3/4,-z+3/4'
'-x,y+3/4,z+3/4'
'-x+1/4,y+1/2,-z+3/4'
'x+1/4,-y+1/2,z+3/4'
'x+1/2,y,z+1/2'
'-x+1/2,-y,-z+1/2'
'-x+3/4,-y+1/4,z+1/2'
'x+3/4,y+1/4,-z+1/2'
'x+1/2,-y+1/4,-z+3/4'
'-x+1/2,y+1/4,z+3/4'
'-x+3/4,y,-z+3/4'
'x+3/4,-y,z+3/4'
'x+1/2,y+1/2,z'
'-x+1/2,-y+1/2,-z'
'-x+3/4,-y+3/4,z'
'x+3/4,y+3/4,-z'
'x+1/2,-y+3/4,-z+1/4'
'-x+1/2,y+3/4,z+1/4'
'-x+3/4,y+1/2,-z+1/4'
'x+3/4,-y+1/2,z+1/4'
loop_
_atom_site_label
_atom_site_type_symbol
_atom_site_fract_x
_atom_site_fract_y
_atom_site_fract_z
_atom_site_occupancy
Ge1 Ge 0.1250 0.1250 0.1250 1
B1 B 0.0000 0.0000 0.5000 1
Rh1 Rh 0.0348 0.2815 0.9664 1
```

Largest 10 diffraction maxima, most intense first, 2θ = 15–90°:
2θ/deg	intensity
35.65	100
39.36	66
40.68	48
47.15	30
24.49	29
46.68	25
50.20	16
35.10	16
79.06	15
34.72	14


Structure and theoretical PXRD pattern of Zn2GeB2Rh5 (a crystal structure in Alexandria, relaxed with PBE; λ = 1.5418 Å (Cu Kα)).

Structure:
```
data_Zn2GeB2Rh5
_chemical_formula_sum 'Zn4 Ge2 B4 Rh10'
_cell_length_a 9.3926
_cell_length_b 9.3926
_cell_length_c 2.8821
_cell_angle_alpha 90.00
_cell_angle_beta 90.00
_cell_angle_gamma 90.00
_symmetry_space_group_name_H-M 'P 4/m b m'
_symmetry_Int_Tables_number 127
_symmetry_space_group_name_Hall '-P 4 2ab'
loop_
_atom_site_label
_atom_site_type_symbol
_atom_site_fract_x
_atom_site_fract_y
_atom_site_fract_z
_atom_site_occupancy
Zn1 Zn 0.1737 0.3263 0.0000 1
Ge1 Ge 0.0000 0.0000 0.0000 1
B1 B 0.1258 0.6258 0.0000 1
Rh1 Rh 0.0000 0.5000 0.5000 1
Rh2 Rh 0.0779 0.7894 0.5000 1
```

Largest 10 diffraction maxima, most intense first, 2θ = 15–90°:
2θ/deg	intensity
43.77	100
39.56	73
37.86	50
43.07	44
47.02	37
79.44	29
34.43	29
41.49	21
31.03	20
78.55	18


Structure and theoretical PXRD pattern of TiGeBRu2 (a crystal structure in Alexandria, relaxed with PBE; λ = 1.5418 Å (Cu Kα)).

Structure:
```
data_TiGeBRu2
_chemical_formula_sum 'Ti1 Ge1 B1 Ru2'
_cell_length_a 4.4811
_cell_length_b 4.4811
_cell_length_c 4.6308
_cell_angle_alpha 90.00
_cell_angle_beta 90.00
_cell_angle_gamma 90.00
_symmetry_space_group_name_H-M 'P 4/m m m'
_symmetry_Int_Tables_number 123
_symmetry_space_group_name_Hall '-P 4 2'
loop_
_atom_site_label
_atom_site_type_symbol
_atom_site_fract_x
_atom_site_fract_y
_atom_site_fract_z
_atom_site_occupancy
Ti1 Ti 0.0000 0.0000 0.0000 1
Ge1 Ge 0.0000 0.0000 0.5000 1
B1 B 0.5000 0.5000 0.0000 1
Ru1 Ru 0.0000 0.5000 0.5000 1
```

Largest 10 diffraction maxima, most intense first, 2θ = 15–90°:
2θ/deg	intensity
19.17	100
40.25	66
34.29	64
19.81	48
57.21	45
44.94	44
38.90	37
72.26	22
58.23	21
61.90	17


Structure and theoretical PXRD pattern of Ge2BSb (a crystal structure in Alexandria, relaxed with PBE; λ = 1.5418 Å (Cu Kα)).

Structure:
```
data_Ge2BSb
_chemical_formula_sum 'Ge8 B4 Sb4'
_cell_length_a 5.5328
_cell_length_b 5.5328
_cell_length_c 10.7330
_cell_angle_alpha 90.00
_cell_angle_beta 90.00
_cell_angle_gamma 90.00
_symmetry_space_group_name_H-M 'I -4 2 d'
_symmetry_Int_Tables_number 122
_symmetry_space_group_name_Hall 'I -4 2bw'
loop_
_atom_site_label
_atom_site_type_symbol
_atom_site_fract_x
_atom_site_fract_y
_atom_site_fract_z
_atom_site_occupancy
Ge1 Ge 0.1620 0.2500 0.1250 1
B1 B 0.0000 0.0000 0.0000 1
Sb1 Sb 0.0000 0.0000 0.5000 1
```

Largest 10 diffraction maxima, most intense first, 2θ = 15–90°:
2θ/deg	intensity
28.23	100
37.29	54
47.19	41
29.74	37
55.22	18
66.27	15
50.19	15
46.42	14
56.57	14
18.04	13


Structure and theoretical PXRD pattern of TlGe2BSe6 (a crystal structure in Alexandria, relaxed with PBE; λ = 1.5418 Å (Cu Kα)).

Structure:
```
data_TlGe2BSe6
_chemical_formula_sum 'Tl4 Ge8 B4 Se24'
_cell_length_a 13.8344
_cell_length_b 12.8695
_cell_length_c 6.8968
_cell_angle_alpha 90.00
_cell_angle_beta 117.45
_cell_angle_gamma 90.00
_symmetry_space_group_name_H-M 'C 1 2/c 1'
_symmetry_Int_Tables_number 15
loop_
_symmetry_equiv_pos_as_xyz
'x,y,z'
'-x,-y,-z'
'-x,y,-z+1/2'
'x,-y,z+1/2'
'x+1/2,y+1/2,z'
'-x+1/2,-y+1/2,-z'
'-x+1/2,y+1/2,-z+1/2'
'x+1/2,-y+1/2,z+1/2'
loop_
_atom_site_label
_atom_site_type_symbol
_atom_site_fract_x
_atom_site_fract_y
_atom_site_fract_z
_atom_site_occupancy
Tl1 Tl 0.0000 0.1170 0.2500 1
Ge1 Ge 0.2132 0.4115 0.1888 1
B1 B 0.0000 0.2589 0.7500 1
Se1 Se 0.0320 0.3390 0.0263 1
Se2 Se 0.1139 0.1348 0.8197 1
Se3 Se 0.2266 0.4135 0.5585 1
```

Largest 10 diffraction maxima, most intense first, 2θ = 15–90°:
2θ/deg	intensity
27.48	100
27.73	74
29.34	54
33.93	39
19.99	32
20.42	29
29.11	29
32.18	29
38.79	28
48.37	23


Structure and theoretical PXRD pattern of SmGeB (a crystal structure in Alexandria, relaxed with PBE; λ = 1.5418 Å (Cu Kα)).

Structure:
```
data_SmGeB
_chemical_formula_sum 'Sm2 Ge2 B2'
_cell_length_a 4.2939
_cell_length_b 3.6369
_cell_length_c 6.5515
_cell_angle_alpha 90.00
_cell_angle_beta 91.62
_cell_angle_gamma 90.00
_symmetry_space_group_name_H-M 'P 1 21/m 1'
_symmetry_Int_Tables_number 11
loop_
_symmetry_equiv_pos_as_xyz
'x,y,z'
'-x,-y,-z'
'-x,y+1/2,-z'
'x,-y+1/2,z'
loop_
_atom_site_label
_atom_site_type_symbol
_atom_site_fract_x
_atom_site_fract_y
_atom_site_fract_z
_atom_site_occupancy
Sm1 Sm 0.0232 0.2500 0.2276 1
Ge1 Ge 0.4478 0.2500 0.6175 1
B1 B 0.4936 0.7500 0.0505 1
```

Largest 10 diffraction maxima, most intense first, 2θ = 15–90°:
2θ/deg	intensity
34.90	100
35.36	51
48.65	26
27.23	26
28.06	25
50.17	23
42.10	21
36.94	17
33.96	13
20.69	13


Structure and theoretical PXRD pattern of TbGeB (a crystal structure in Alexandria, relaxed with PBE; λ = 1.5418 Å (Cu Kα)).

Structure:
```
data_TbGeB
_chemical_formula_sum 'Tb1 Ge1 B1'
_cell_length_a 3.6418
_cell_length_b 3.6418
_cell_length_c 4.2084
_cell_angle_alpha 90.00
_cell_angle_beta 90.00
_cell_angle_gamma 120.00
_symmetry_space_group_name_H-M 'P 3 m 1'
_symmetry_Int_Tables_number 156
loop_
_symmetry_equiv_pos_as_xyz
'x,y,z'
'-y,x-y,z'
'-x+y,-x,z'
'-y,-x,z'
'-x+y,y,z'
'x,x-y,z'
loop_
_atom_site_label
_atom_site_type_symbol
_atom_site_fract_x
_atom_site_fract_y
_atom_site_fract_z
_atom_site_occupancy
Tb1 Tb 0.0000 0.0000 0.0000 1
Ge1 Ge 0.6667 0.3333 0.5117 1
B1 B 0.3333 0.6667 0.4504 1
```

Largest 10 diffraction maxima, most intense first, 2θ = 15–90°:
2θ/deg	intensity
35.57	100
28.30	35
50.09	25
68.10	20
62.94	19
84.47	17
52.26	14
42.98	13
73.95	12
21.11	8


Structure and theoretical PXRD pattern of Ti5GeB2 (a crystal structure in Alexandria, relaxed with PBE; λ = 1.5418 Å (Cu Kα)).

Structure:
```
data_Ti5GeB2
_chemical_formula_sum 'Ti20 Ge4 B8'
_cell_length_a 6.1355
_cell_length_b 6.1355
_cell_length_c 11.6768
_cell_angle_alpha 90.00
_cell_angle_beta 90.00
_cell_angle_gamma 90.00
_symmetry_space_group_name_H-M 'I 4/m c m'
_symmetry_Int_Tables_number 140
_symmetry_space_group_name_Hall '-I 4 2c'
loop_
_atom_site_label
_atom_site_type_symbol
_atom_site_fract_x
_atom_site_fract_y
_atom_site_fract_z
_atom_site_occupancy
Ti1 Ti 0.0000 0.0000 0.0000 1
Ti2 Ti 0.1739 0.3261 0.1316 1
Ge1 Ge 0.0000 0.0000 0.2500 1
B1 B 0.1088 0.3912 0.5000 1
```

Largest 10 diffraction maxima, most intense first, 2θ = 15–90°:
2θ/deg	intensity
42.76	100
37.12	65
46.82	64
40.21	61
33.55	52
41.63	35
20.47	33
73.01	30
82.74	21
51.39	17


Structure and theoretical PXRD pattern of Ti3GeB (a crystal structure in Alexandria, relaxed with PBE; λ = 1.5418 Å (Cu Kα)).

Structure:
```
data_Ti3GeB
_chemical_formula_sum 'Ti3 Ge1 B1'
_cell_length_a 4.2287
_cell_length_b 4.2287
_cell_length_c 4.2287
_cell_angle_alpha 90.00
_cell_angle_beta 90.00
_cell_angle_gamma 90.00
_symmetry_space_group_name_H-M 'P m -3 m'
_symmetry_Int_Tables_number 221
_symmetry_space_group_name_Hall '-P 4 2 3'
loop_
_atom_site_label
_atom_site_type_symbol
_atom_site_fract_x
_atom_site_fract_y
_atom_site_fract_z
_atom_site_occupancy
Ti1 Ti 0.0000 0.0000 0.5000 1
Ge1 Ge 0.5000 0.5000 0.5000 1
B1 B 0.0000 0.0000 0.0000 1
```

Largest 10 diffraction maxima, most intense first, 2θ = 15–90°:
2θ/deg	intensity
36.81	100
42.77	55
62.08	33
74.41	33
78.33	11
29.88	8
53.05	3
21.01	2
86.02	2
48.11	2


Structure and theoretical PXRD pattern of Ti4Ge2B (a crystal structure in Alexandria, relaxed with PBE; λ = 1.5418 Å (Cu Kα)).

Structure:
```
data_Ti4Ge2B
_chemical_formula_sum 'Ti8 Ge4 B2'
_cell_length_a 4.1019
_cell_length_b 4.1019
_cell_length_c 13.5367
_cell_angle_alpha 90.00
_cell_angle_beta 90.00
_cell_angle_gamma 90.00
_symmetry_space_group_name_H-M 'I 4/m m m'
_symmetry_Int_Tables_number 139
_symmetry_space_group_name_Hall '-I 4 2'
loop_
_atom_site_label
_atom_site_type_symbol
_atom_site_fract_x
_atom_site_fract_y
_atom_site_fract_z
_atom_site_occupancy
Ti1 Ti 0.0000 0.0000 0.1625 1
Ti2 Ti 0.0000 0.5000 0.0000 1
Ge1 Ge 0.0000 0.0000 0.3590 1
B1 B 0.0000 0.0000 0.0000 1
```

Largest 10 diffraction maxima, most intense first, 2θ = 15–90°:
2θ/deg	intensity
40.98	100
44.16	61
33.62	57
39.94	37
30.83	36
61.05	33
79.06	26
64.23	18
78.38	14
77.88	13


Structure and theoretical PXRD pattern of VGeB (a crystal structure in Alexandria, relaxed with PBE; λ = 1.5418 Å (Cu Kα)).

Structure:
```
data_VGeB
_chemical_formula_sum 'V4 Ge4 B4'
_cell_length_a 5.6138
_cell_length_b 4.5538
_cell_length_c 5.5640
_cell_angle_alpha 90.00
_cell_angle_beta 90.00
_cell_angle_gamma 90.00
_symmetry_space_group_name_H-M 'P c a 21'
_symmetry_Int_Tables_number 29
loop_
_symmetry_equiv_pos_as_xyz
'x,y,z'
'-x,-y,z+1/2'
'-x+1/2,y,z+1/2'
'x+1/2,-y,z'
loop_
_atom_site_label
_atom_site_type_symbol
_atom_site_fract_x
_atom_site_fract_y
_atom_site_fract_z
_atom_site_occupancy
V1 V 0.0894 0.1196 0.0000 1
Ge1 Ge 0.2077 0.6455 0.1658 1
B1 B 0.0649 0.3148 0.3748 1
```

Largest 10 diffraction maxima, most intense first, 2θ = 15–90°:
2θ/deg	intensity
41.29	100
45.97	95
42.86	81
35.83	76
37.90	63
25.18	48
37.64	37
54.59	36
32.18	35
52.90	31